(1)
Starting from DFT lattice parameters and positions (PBE), the powder XRD pattern of Rb2NpTeSe5 was simulated for Cu Ka.

Top 8 peaks for 2θ = 15–90°, in order of rising 2θ:
| 2θ (°) | d/Å | I_rel | index |
| --- | --- | --- | --- |
| 24.14 | 3.687 | 55 | 1 1 2 |
| 27.25 | 3.272 | 100 | 1 1 3 |
| 28.31 | 3.152 | 52 | 0 6 1 |
| 31.13 | 2.873 | 27 | 1 1 4 |
| 33.85 | 2.648 | 34 | 1 3 4 |
| 35.56 | 2.525 | 38 | 1 1 5 |
| 42.40 | 2.132 | 33 | 2 0 0 |
| 46.76 | 1.943 | 26 | 1 5 6 |

Crystal structure
Cell: 4.264 19.296 15.878 Å, 90.00 90.00 90.00°
Space group Cmc2_1 (No. 36)
One atom of each set of equivalent atoms:
Rb 0.000 0.098 0.000 [4 per cell]
Rb 0.000 0.145 0.666 [4 per cell]
Np 0.000 0.205 0.399 [4 per cell]
Te 0.000 0.455 0.784 [4 per cell]
Se 0.000 0.075 0.447 [4 per cell]
Se 0.000 0.274 0.009 [4 per cell]
Se 0.000 0.320 0.776 [4 per cell]
Se 0.000 0.334 0.343 [4 per cell]
Se 0.000 0.497 0.636 [4 per cell]

=====

(2)
Starting from DFT lattice parameters and positions (PBE), the powder XRD pattern of Rb3Th3NpSe8 was simulated for Cu Ka.

Top 8 peaks for 2θ = 15–90°, in order of rising 2θ:
| 2θ (°) | d/Å | I_rel | index |
| --- | --- | --- | --- |
| 24.33 | 3.659 | 15 | 0 2 1 |
| 28.13 | 3.172 | 100 | 0 2 4 |
| 35.18 | 2.551 | 21 | 0 2 7 |
| 38.00 | 2.368 | 37 | 2 0 8 |
| 42.31 | 2.136 | 35 | 2 2 0 |
| 51.59 | 1.772 | 19 | 4 0 4 |
| 62.75 | 1.481 | 15 | 2 2 12 |
| 68.85 | 1.364 | 16 | 2 4 4 |

Crystal structure
Cell: 8.5437 8.5437 24.6596 Å, 90.00 90.00 120.00°
Space group R-3m (No. 166, hexagonal axes)
One atom of each set of equivalent atoms:
Rb 0.0000 0.5000 0.0000 [9 per cell]
Th 0.0000 0.5000 0.5000 [9 per cell]
Np 0.0000 0.0000 0.5000 [3 per cell]
Se 0.0000 0.0000 0.2351 [6 per cell]
Se 0.0016 0.5008 0.7675 [18 per cell]

=====

(3)
Starting from DFT lattice parameters and positions (PBE), the powder XRD pattern of Rb2Np2TiSe6 was simulated for Cu Ka.

Top 8 peaks for 2θ = 15–90°, in order of rising 2θ:
| 2θ (°) | d/Å | I_rel | index |
| --- | --- | --- | --- |
| 16.24 | 5.457 | 18 | 1 1 -1 |
| 29.18 | 3.060 | 49 | 2 0 -2 |
| 29.48 | 3.029 | 100 | 1 3 1 |
| 36.33 | 2.473 | 23 | 1 3 2 |
| 38.94 | 2.313 | 32 | 1 3 -3 |
| 44.82 | 2.022 | 33 | 3 3 -1 |
| 45.14 | 2.008 | 25 | 0 6 0 |
| 54.67 | 1.679 | 17 | 2 6 -2 |

Crystal structure
Cell: 7.021 12.047 8.562 Å, 90.00 106.30 90.00°
Space group C2/m (No. 12)
One atom of each set of equivalent atoms:
Rb 0.000 0.171 0.000 [4 per cell]
Np 0.000 0.333 0.500 [4 per cell]
Ti 0.000 0.000 0.500 [2 per cell]
Se 0.222 0.156 0.688 [8 per cell]
Se 0.247 0.000 0.313 [4 per cell]

=====

(4)
Starting from DFT lattice parameters and positions (PBE), the powder XRD pattern of Rb2Np3TlSe8 was simulated for Cu Ka.

Top 8 peaks for 2θ = 15–90°, in order of rising 2θ:
| 2θ (°) | d/Å | I_rel | index |
| --- | --- | --- | --- |
| 18.68 | 4.751 | 54 | 1 0 4 |
| 21.54 | 4.125 | 40 | 0 1 5 |
| 23.58 | 3.773 | 85 | 1 1 3 |
| 24.54 | 3.627 | 69 | 0 2 1 |
| 28.23 | 3.161 | 100 | 0 2 4 |
| 35.12 | 2.556 | 100 | 0 2 7 |
| 37.88 | 2.375 | 73 | 2 0 8 |
| 42.72 | 2.117 | 87 | 2 2 0 |

Crystal structure
Cell: 8.4671 8.4671 24.9476 Å, 90.00 90.00 120.00°
Space group R3m (No. 160, hexagonal axes)
One atom of each set of equivalent atoms:
Rb 0.0000 0.0000 0.0000 [3 per cell]
Rb 0.0000 0.0000 0.3613 [3 per cell]
Np 0.0002 0.5001 0.8621 [9 per cell]
Tl 0.0000 0.0000 0.7406 [3 per cell]
Se 0.0000 0.0000 0.1352 [3 per cell]
Se 0.0000 0.0000 0.5888 [3 per cell]
Se 0.0258 0.5129 0.1352 [9 per cell]
Se 0.1815 0.3631 0.9208 [9 per cell]

=====

(5)
Starting from DFT lattice parameters and positions (PBE), the powder XRD pattern of Rb3Np3TaTe8 was simulated for Cu Ka.

Top 8 peaks for 2θ = 15–90°, in order of rising 2θ:
| 2θ (°) | d/Å | I_rel | index |
| --- | --- | --- | --- |
| 31.21 | 2.866 | 100 | 2 0 2 |
| 33.74 | 2.656 | 50 | 2 2 0 |
| 35.27 | 2.544 | 17 | 2 2 1 |
| 38.77 | 2.323 | 32 | 2 0 3 |
| 48.47 | 1.878 | 18 | 4 0 0 |
| 53.87 | 1.702 | 11 | 2 2 4 |
| 58.78 | 1.571 | 33 | 4 2 2 |
| 63.72 | 1.460 | 15 | 4 2 3 |

Crystal structure
Cell: 7.513 7.513 8.865 Å, 90.00 90.00 90.00°
Space group P4/mmm (No. 123)
One atom of each set of equivalent atoms:
Rb 0.000 0.000 0.000 [1 per cell]
Rb 0.000 0.500 0.000 [2 per cell]
Np 0.000 0.000 0.500 [1 per cell]
Np 0.000 0.500 0.500 [2 per cell]
Ta 0.500 0.500 0.500 [1 per cell]
Te 0.259 0.259 0.303 [8 per cell]

=====

(6)
Starting from DFT lattice parameters and positions (PBE), the powder XRD pattern of RbNp2Te4 was simulated for Cu Ka.

Top 8 peaks for 2θ = 15–90°, in order of rising 2θ:
| 2θ (°) | d/Å | I_rel | index |
| --- | --- | --- | --- |
| 20.93 | 4.245 | 57 | 0 2 3 |
| 25.92 | 3.438 | 51 | 0 2 4 |
| 26.75 | 3.332 | 76 | 1 3 0 |
| 27.38 | 3.258 | 100 | 1 3 1 |
| 29.17 | 3.061 | 73 | 1 3 2 |
| 35.68 | 2.516 | 64 | 1 1 5 |
| 40.09 | 2.249 | 47 | 2 0 0 |
| 40.32 | 2.237 | 89 | 1 5 3 |

Crystal structure
Cell: 4.498 14.881 15.505 Å, 90.00 90.00 90.00°
Space group Cmcm (No. 63)
One atom of each set of equivalent atoms:
Rb 0.000 0.103 0.250 [4 per cell]
Np 0.000 0.365 0.062 [8 per cell]
Te 0.000 0.000 0.000 [4 per cell]
Te 0.000 0.264 0.611 [8 per cell]
Te 0.000 0.412 0.250 [4 per cell]

=====

(7)
Starting from DFT lattice parameters and positions (PBE), the powder XRD pattern of Rb2NpTe4 was simulated for Cu Ka.

Top 8 peaks for 2θ = 15–90°, in order of rising 2θ:
| 2θ (°) | d/Å | I_rel | index |
| --- | --- | --- | --- |
| 23.02 | 3.863 | 100 | 1 1 0 |
| 23.24 | 3.828 | 85 | 1 1 -1 |
| 30.02 | 2.977 | 79 | 0 0 3 |
| 30.43 | 2.938 | 62 | 2 1 -1 |
| 31.79 | 2.814 | 89 | 2 1 0 |
| 33.54 | 2.672 | 45 | 1 1 2 |
| 37.11 | 2.422 | 43 | 2 1 -3 |
| 39.17 | 2.300 | 45 | 0 2 0 |

Crystal structure
Cell: 7.641 4.599 9.587 Å, 90.00 111.33 90.00°
Space group P2/m (No. 10)
One atom of each set of equivalent atoms:
Rb 0.219 0.000 0.346 [2 per cell]
Np 0.500 0.500 0.000 [1 per cell]
Te 0.235 0.000 0.964 [2 per cell]
Te 0.388 0.500 0.678 [2 per cell]

=====

(8)
Starting from DFT lattice parameters and positions (PBE), the powder XRD pattern of RbNp2Te4 was simulated for Cu Ka.

Top 8 peaks for 2θ = 15–90°, in order of rising 2θ:
| 2θ (°) | d/Å | I_rel | index |
| --- | --- | --- | --- |
| 26.85 | 3.321 | 100 | 0 0 4 |
| 35.16 | 2.553 | 17 | 3 2 1 |
| 38.06 | 2.364 | 12 | 0 4 0 |
| 38.34 | 2.348 | 49 | 2 2 4 |
| 38.57 | 2.334 | 12 | 4 0 0 |
| 47.20 | 1.925 | 12 | 0 4 4 |
| 47.63 | 1.909 | 13 | 4 0 4 |
| 62.56 | 1.485 | 19 | 2 2 8 |

Crystal structure
Cell: 9.337 9.457 13.272 Å, 90.00 90.00 90.00°
Space group Imma (No. 74)
One atom of each set of equivalent atoms:
Rb 0.250 0.250 0.250 [4 per cell]
Np 0.000 0.000 0.000 [4 per cell]
Np 0.250 0.250 0.750 [4 per cell]
Te 0.000 0.033 0.763 [8 per cell]
Te 0.220 0.250 0.984 [8 per cell]

=====

(9)
Starting from DFT lattice parameters and positions (PBE), the powder XRD pattern of NpReS4 was simulated for Cu Ka.

Top 8 peaks for 2θ = 15–90°, in order of rising 2θ:
| 2θ (°) | d/Å | I_rel | index |
| --- | --- | --- | --- |
| 20.92 | 4.247 | 100 | 2 0 0 |
| 29.10 | 3.068 | 69 | 1 1 2 |
| 29.75 | 3.003 | 21 | 2 2 0 |
| 42.10 | 2.146 | 72 | 3 1 2 |
| 42.57 | 2.124 | 23 | 4 0 0 |
| 47.89 | 1.899 | 19 | 4 2 0 |
| 52.40 | 1.746 | 25 | 3 3 2 |
| 55.89 | 1.645 | 14 | 2 0 4 |

Crystal structure
Cell: 8.494 8.494 7.138 Å, 90.00 90.00 90.00°
Space group I4_1md (No. 109)
One atom of each set of equivalent atoms:
Np 0.000 0.000 0.000 [4 per cell]
Re 0.000 0.000 0.511 [4 per cell]
S 0.000 0.196 0.277 [8 per cell]
S 0.000 0.211 0.740 [8 per cell]

=====

(10)
Starting from DFT lattice parameters and positions (PBE), the powder XRD pattern of NpRe4Se8 was simulated for Cu Ka.

Top 8 peaks for 2θ = 15–90°, in order of rising 2θ:
| 2θ (°) | d/Å | I_rel | index |
| --- | --- | --- | --- |
| 15.19 | 5.831 | 30 | 0 0 3 |
| 27.95 | 3.192 | 16 | 0 2 1 |
| 34.41 | 2.607 | 100 | 0 2 4 |
| 48.58 | 1.874 | 38 | 2 2 0 |
| 50.31 | 1.814 | 34 | 2 0 8 |
| 60.88 | 1.522 | 19 | 4 0 4 |
| 81.47 | 1.181 | 17 | 2 4 4 |
| 84.13 | 1.151 | 15 | 2 2 12 |

Crystal structure
Cell: 7.4969 7.4969 17.4934 Å, 90.00 90.00 120.00°
Space group R-3m (No. 166, hexagonal axes)
One atom of each set of equivalent atoms:
Np 0.0000 0.0000 0.0000 [3 per cell]
Re 0.0000 0.0000 0.5000 [3 per cell]
Re 0.0000 0.5000 0.5000 [9 per cell]
Se 0.0000 0.0000 0.2457 [6 per cell]
Se 0.0114 0.5057 0.2452 [18 per cell]

=====

(11)
Starting from DFT lattice parameters and positions (PBE), the powder XRD pattern of NpVRe was simulated for Cu Ka.

Top 8 peaks for 2θ = 15–90°, in order of rising 2θ:
| 2θ (°) | d/Å | I_rel | index |
| --- | --- | --- | --- |
| 15.98 | 5.546 | 14 | 0 0 2 |
| 30.57 | 2.924 | 31 | 1 0 1 |
| 32.28 | 2.773 | 13 | 0 0 4 |
| 38.40 | 2.344 | 100 | 1 0 3 |
| 42.15 | 2.144 | 41 | 1 1 0 |
| 61.14 | 1.516 | 14 | 2 0 0 |
| 66.82 | 1.400 | 17 | 1 1 6 |
| 74.55 | 1.273 | 29 | 2 1 3 |

Crystal structure
Cell: 3.032 3.032 11.092 Å, 90.00 90.00 90.00°
Space group I4mm (No. 107)
One atom of each set of equivalent atoms:
Np 0.000 0.000 0.000 [2 per cell]
V 0.000 0.000 0.688 [2 per cell]
Re 0.000 0.000 0.314 [2 per cell]

=====

(12)
Starting from DFT lattice parameters and positions (PBE), the powder XRD pattern of ZrNpRe was simulated for Cu Ka.

Top 8 peaks for 2θ = 15–90°, in order of rising 2θ:
| 2θ (°) | d/Å | I_rel | index |
| --- | --- | --- | --- |
| 23.42 | 3.799 | 26 | 0 1 1 |
| 23.76 | 3.745 | 14 | 1 0 1 |
| 30.68 | 2.915 | 10 | 1 1 1 |
| 38.86 | 2.318 | 100 | 0 2 0 |
| 39.67 | 2.272 | 20 | 2 0 0 |
| 56.70 | 1.623 | 14 | 2 2 0 |
| 70.31 | 1.339 | 14 | 1 3 2 |
| 71.45 | 1.320 | 13 | 3 1 2 |

Crystal structure
Cell: 4.544 4.641 6.615 Å, 90.00 90.00 90.00°
Space group Pmmn (No. 59, origin choice 2)
One atom of each set of equivalent atoms:
Zr 0.250 0.250 0.016 [2 per cell]
Np 0.250 0.250 0.524 [2 per cell]
Re 0.250 0.750 0.253 [2 per cell]

=====

(13)
Starting from DFT lattice parameters and positions (PBE), the powder XRD pattern of NpRh4 was simulated for Cu Ka.

Top 8 peaks for 2θ = 15–90°, in order of rising 2θ:
| 2θ (°) | d/Å | I_rel | index |
| --- | --- | --- | --- |
| 39.05 | 2.306 | 100 | 1 0 5 |
| 39.52 | 2.280 | 92 | 1 2 1 |
| 41.68 | 2.167 | 39 | 0 2 4 |
| 43.42 | 2.084 | 38 | 2 0 0 |
| 43.79 | 2.067 | 17 | 1 2 3 |
| 51.48 | 1.775 | 20 | 0 2 6 |
| 61.76 | 1.502 | 25 | 2 2 4 |
| 80.75 | 1.190 | 24 | 1 4 5 |

Crystal structure
Cell: 4.168 5.557 13.845 Å, 90.00 90.00 90.00°
Space group Imma (No. 74)
One atom of each set of equivalent atoms:
Np 0.000 0.250 0.107 [4 per cell]
Rh 0.000 0.000 0.500 [4 per cell]
Rh 0.000 0.006 0.694 [8 per cell]
Rh 0.000 0.250 0.895 [4 per cell]